Starting from a PBE-relaxed structure, the powder X-ray diffraction pattern of Tb6Pm5Y2 was simulated for Cu Kα X-rays.
Intensities are scaled so that the largest is 100.

Main lines, in order of falling intensity (5 to 70 degrees two-theta):
hkl  2theta  d [Å]  I/Imax
2 3 1  31.92  2.804  100
1 7 0  31.39  2.850  68
4 1 0  30.79  2.904  60
1 4 1  31.24  2.863  50
2 4 1  33.99  2.638  38
3 3 1  36.33  2.473  31
3 6 0  34.81  2.577  25
0 0 2  50.62  1.803  24

Lattice parameters (Å, degrees): 11.734 20.566 3.607 90.00 90.00 90.00
Space group Pbam (No. 55)
Inequivalent atoms, fractional coordinates:
1 Tb 0.060 0.081 0.000
2 Tb 0.081 0.368 0.000
3 Tb 0.174 0.636 0.500
4 Pm 0.000 0.500 0.500
5 Pm 0.089 0.226 0.500
6 Pm 0.199 0.949 0.500
7 Y 0.168 0.789 0.000

---

Starting from a PBE-relaxed structure, the powder X-ray diffraction pattern of Ba3Li2 was simulated for Cu Kα X-rays.
Intensities are scaled so that the largest is 100.

Main lines, in order of falling intensity (5 to 70 degrees two-theta):
hkl  2theta  d [Å]  I/Imax
3 1 1  26.91  3.314  100
0 8 0  25.99  3.429  89
1 3 1  23.51  3.784  58
2 2 0  12.91  6.858  47
3 9 1  40.07  2.250  27
2 6 0  22.46  3.958  25
5 7 1  42.27  2.138  23
5 1 1  35.31  2.542  21

Lattice parameters (Å, degrees): 15.852 27.407 4.308 90.00 90.00 90.00
Space group Fdd2 (No. 43)
Inequivalent atoms, fractional coordinates:
1 Ba 0.000 0.000 0.000
2 Ba 0.097 0.139 0.724
3 Li 0.046 0.278 0.664

---

Starting from a PBE-relaxed structure, the powder X-ray diffraction pattern of KNa5 was simulated for Cu Kα X-rays.
Intensities are scaled so that the largest is 100.

Main lines, in order of falling intensity (5 to 70 degrees two-theta):
hkl  2theta  d [Å]  I/Imax
1 3 1  27.97  3.190  100
2 0 0  31.91  2.805  36
2 6 0  46.85  1.939  21
0 6 0  33.39  2.684  14
3 3 1  54.42  1.686  13
1 3 3  54.55  1.682  13
2 0 2  45.75  1.983  12
2 6 2  57.81  1.595  10

Lattice parameters (Å, degrees): 5.617 16.103 5.601 90.00 90.00 90.00
Space group Cmmm (No. 65)
Inequivalent atoms, fractional coordinates:
1 K 0.000 0.000 0.000
2 Na 0.000 0.177 0.500
3 Na 0.000 0.324 0.000
4 Na 0.000 0.500 0.500

---

Question: What is the formula in the first record?
Answer: Tb6Pm5Y2

---

Question: Number 1 is which compound?
Answer: Tb6Pm5Y2